Theoretical powder diffraction line list
Compound: Ba2YTaO6
Radiation: Cu Kα
Structure: DFT lattice parameters and positions (GGA-PBE)
Peak positions follow from Bragg's law for the DFT cell and can differ from measured ones.

The 12 most intense peaks (15 to 90 degrees two-theta), by angle:
| d_spacing | 2theta | I_rel |
| --- | --- | --- |
| 4.933 | 17.98 | 80 |
| 3.021 | 29.57 | 1000 |
| 2.576 | 34.82 | 37 |
| 2.136 | 42.31 | 294 |
| 1.960 | 46.32 | 14 |
| 1.744 | 52.46 | 406 |
| 1.644 | 55.91 | 18 |
| 1.510 | 61.38 | 185 |
| 1.444 | 64.52 | 17 |
| 1.351 | 69.59 | 181 |
| 1.233 | 77.38 | 61 |
| 1.142 | 84.93 | 216 |

Structural model:
```
Ba2YTaO6
1.0
0.0000 4.2723 4.2723
4.2723 0.0000 4.2723
4.2723 4.2723 0.0000
Ba Y Ta O
2 1 1 6
Cartesian
2.1362 2.1362 2.1362
6.4085 6.4085 6.4085
0.0000 0.0000 0.0000
4.2723 4.2723 4.2723
4.2723 4.2723 2.2588
4.2723 2.2588 4.2723
6.2858 4.2723 4.2723
2.2588 4.2723 4.2723
4.2723 6.2858 4.2723
4.2723 4.2723 6.2858
```